Structure and simulated powder X-ray diffraction pattern of CoNiSb6 (a DFT-relaxed cell (GGA-PBE, the Materials Project); Cu Kα X-rays).
Peak positions follow from Bragg's law for the DFT cell and can differ from measured ones.

The 8 most intense peaks (10 to 80 degrees two-theta), low angle first:
30.9°, 2.898 Å, rel. 100; 36.7°, 2.450 Å, rel. 32; 44.2°, 2.050 Å, rel. 21; 48.7°, 1.869 Å, rel. 9; 50.8°, 1.799 Å, rel. 10; 50.9°, 1.796 Å, rel. 11; 58.8°, 1.571 Å, rel. 12; 69.6°, 1.351 Å, rel. 9

```
CoNiSb6
1.0
6.468 -4.581 0.000
6.468 4.581 0.000
-6.464 0.000 6.493
Co Ni Sb
2 2 12
Direct
0.000 0.500 0.000 Co
0.500 0.000 0.000 Co
0.000 0.500 0.500 Ni
0.500 0.000 0.500 Ni
0.157 0.838 0.163 Sb
0.162 0.843 0.837 Sb
0.175 0.506 0.338 Sb
0.333 0.333 0.993 Sb
0.336 0.336 0.677 Sb
0.494 0.825 0.662 Sb
0.506 0.175 0.338 Sb
0.664 0.664 0.323 Sb
0.667 0.667 0.007 Sb
0.825 0.494 0.662 Sb
0.838 0.157 0.163 Sb
0.843 0.162 0.837 Sb
```


Structure and simulated powder X-ray diffraction pattern of Nb9IrS20 (a DFT-relaxed cell (GGA-PBE, the Materials Project); Cu Kα X-rays).
Peak positions follow from Bragg's law for the DFT cell and can differ from measured ones.

The 8 most intense peaks (10 to 80 degrees two-theta), low angle first:
13.8°, 6.431 Å, rel. 100; 30.4°, 2.939 Å, rel. 11; 33.4°, 2.681 Å, rel. 46; 33.5°, 2.672 Å, rel. 24; 41.4°, 2.182 Å, rel. 8; 41.5°, 2.175 Å, rel. 18; 41.6°, 2.170 Å, rel. 21; 53.8°, 1.704 Å, rel. 12

```
Nb9IrS20
1.0
6.819 0.000 0.000
3.360 8.743 0.000
1.656 1.209 10.808
Nb Ir S
9 1 20
Direct
0.000 0.000 0.000 Nb
0.069 0.215 0.223 Nb
0.207 0.402 0.397 Nb
0.308 0.589 0.587 Nb
0.403 0.817 0.819 Nb
0.597 0.183 0.181 Nb
0.692 0.411 0.413 Nb
0.793 0.598 0.603 Nb
0.931 0.785 0.777 Nb
0.500 0.000 0.000 Ir
0.051 0.678 0.436 S
0.055 0.515 0.760 S
0.150 0.724 0.958 S
0.170 0.874 0.636 S
0.246 0.938 0.159 S
0.257 0.087 0.841 S
0.341 0.267 0.037 S
0.346 0.124 0.362 S
0.451 0.314 0.565 S
0.457 0.467 0.239 S
0.543 0.533 0.761 S
0.549 0.686 0.435 S
0.654 0.876 0.638 S
0.659 0.733 0.963 S
0.743 0.913 0.159 S
0.754 0.062 0.841 S
0.830 0.126 0.364 S
0.850 0.276 0.042 S
0.945 0.485 0.240 S
0.949 0.322 0.564 S
```


Copy entry 1 word for word.
Structure and simulated powder X-ray diffraction pattern of CoNiSb6 (a DFT-relaxed cell (GGA-PBE, the Materials Project); Cu Kα X-rays).
Peak positions follow from Bragg's law for the DFT cell and can differ from measured ones.

The 8 most intense peaks (10 to 80 degrees two-theta), low angle first:
30.9°, 2.898 Å, rel. 100; 36.7°, 2.450 Å, rel. 32; 44.2°, 2.050 Å, rel. 21; 48.7°, 1.869 Å, rel. 9; 50.8°, 1.799 Å, rel. 10; 50.9°, 1.796 Å, rel. 11; 58.8°, 1.571 Å, rel. 12; 69.6°, 1.351 Å, rel. 9

```
CoNiSb6
1.0
6.468 -4.581 0.000
6.468 4.581 0.000
-6.464 0.000 6.493
Co Ni Sb
2 2 12
Direct
0.000 0.500 0.000 Co
0.500 0.000 0.000 Co
0.000 0.500 0.500 Ni
0.500 0.000 0.500 Ni
0.157 0.838 0.163 Sb
0.162 0.843 0.837 Sb
0.175 0.506 0.338 Sb
0.333 0.333 0.993 Sb
0.336 0.336 0.677 Sb
0.494 0.825 0.662 Sb
0.506 0.175 0.338 Sb
0.664 0.664 0.323 Sb
0.667 0.667 0.007 Sb
0.825 0.494 0.662 Sb
0.838 0.157 0.163 Sb
0.843 0.162 0.837 Sb
```